Record 1
This entry pairs a crystal structure of NaLiV4O12 with its simulated PXRD pattern. Radiation: Cu Ka. Structure: a PBE+U-relaxed structure.
Neutral-atom scattering factors, no anomalous dispersion.

Atomic structure:
Cell: 5.2039 5.2039 7.5068 Å, 90.00 90.00 90.29°
Fractional coordinates of all 18 atoms:
Na (0.0000, 0.0000, 0.0000)
Li (0.5000, 0.5000, 0.5000)
V (0.0000, 0.5000, 0.2510)
V (0.0000, 0.5000, 0.7490)
V (0.5000, 0.0000, 0.2510)
V (0.5000, 0.0000, 0.7490)
O (0.0000, 0.5000, 0.0000)
O (0.0000, 0.5000, 0.5000)
O (0.2018, 0.7982, 0.2445)
O (0.2018, 0.7982, 0.7555)
O (0.3018, 0.3018, 0.2646)
O (0.3018, 0.3018, 0.7354)
O (0.5000, 0.0000, 0.0000)
O (0.5000, 0.0000, 0.5000)
O (0.6982, 0.6982, 0.2646)
O (0.6982, 0.6982, 0.7354)
O (0.7982, 0.2018, 0.2445)
O (0.7982, 0.2018, 0.7555)

Peak list (10 most intense, 10° ≤ 2θ ≤ 80°, low angle first)
- d = 3.753 Å, 23.7 deg, rel. 1000
- d = 3.689 Å, 24.1 deg, rel. 868
- d = 3.671 Å, 24.2 deg, rel. 843
- d = 2.628 Å, 34.1 deg, rel. 584
- d = 2.602 Å, 34.5 deg, rel. 447
- d = 1.877 Å, 48.5 deg, rel. 368
- d = 1.844 Å, 49.4 deg, rel. 288
- d = 1.835 Å, 49.7 deg, rel. 275
- d = 1.672 Å, 54.9 deg, rel. 277
- d = 1.648 Å, 55.8 deg, rel. 274

Record 2
This entry pairs a crystal structure of Na5Li3V8O24 with its simulated PXRD pattern. Radiation: Cu Ka. Structure: a PBE+U-relaxed structure.
Neutral-atom scattering factors, no anomalous dispersion.

Atomic structure:
Cell: 5.9507 7.0938 13.7850 Å, 90.35 99.45 105.49°
Fractional coordinates of all 40 atoms:
Na (0.0000, 0.0000, 0.0000)
Na (0.1020, 0.1942, 0.5961)
Na (0.3151, 0.6435, 0.3198)
Na (0.5975, 0.1978, 0.0995)
Na (0.8218, 0.6360, 0.8157)
Li (0.4075, 0.8128, 0.9047)
Li (0.5024, 0.0168, 0.5027)
Li (0.9117, 0.8171, 0.4121)
V (0.0551, 0.5382, 0.0573)
V (0.1477, 0.7173, 0.6467)
V (0.2741, 0.1167, 0.2740)
V (0.3670, 0.2996, 0.8535)
V (0.5573, 0.5366, 0.5570)
V (0.6403, 0.7148, 0.1511)
V (0.7671, 0.1140, 0.7620)
V (0.8630, 0.2993, 0.3599)
O (0.0760, 0.2561, 0.7754)
O (0.0818, 0.2754, 0.2859)
O (0.0854, 0.6992, 0.9676)
O (0.1677, 0.8910, 0.5633)
O (0.2073, 0.0070, 0.1618)
O (0.2139, 0.8169, 0.7618)
O (0.2545, 0.9477, 0.3603)
O (0.3366, 0.5582, 0.6308)
O (0.3366, 0.5621, 0.1400)
O (0.3617, 0.1397, 0.9430)
O (0.4585, 0.3070, 0.5073)
O (0.4611, 0.5309, 0.9006)
O (0.5779, 0.2671, 0.2797)
O (0.5801, 0.7018, 0.4695)
O (0.5851, 0.2785, 0.7782)
O (0.6492, 0.8891, 0.0687)
O (0.6986, 0.0190, 0.6462)
O (0.7127, 0.8115, 0.2670)
O (0.7335, 0.9353, 0.8429)
O (0.8336, 0.5632, 0.1300)
O (0.8401, 0.1331, 0.4469)
O (0.8425, 0.5687, 0.6374)
O (0.9493, 0.3112, 0.0074)
O (0.9626, 0.5294, 0.4092)

Peak list (10 most intense, 10° ≤ 2θ ≤ 80°, low angle first)
- d = 4.946 Å, 17.9 deg, rel. 581
- d = 3.588 Å, 24.8 deg, rel. 1000
- d = 3.294 Å, 27.1 deg, rel. 585
- d = 3.268 Å, 27.3 deg, rel. 567
- d = 3.116 Å, 28.6 deg, rel. 203
- d = 3.105 Å, 28.7 deg, rel. 205
- d = 2.904 Å, 30.8 deg, rel. 232
- d = 2.783 Å, 32.2 deg, rel. 541
- d = 2.633 Å, 34.1 deg, rel. 249
- d = 2.396 Å, 37.5 deg, rel. 224

Record 3
This entry pairs a crystal structure of Na5LiV6O18 with its simulated PXRD pattern. Radiation: Cu Ka. Structure: a PBE+U-relaxed structure.
Neutral-atom scattering factors, no anomalous dispersion.

Atomic structure:
Cell: 8.0676 10.5260 11.3115 Å, 90.57 103.69 110.60°
Fractional coordinates of all 60 atoms:
Na (0.0000, 0.0000, 0.0000)
Na (0.0180, 0.9806, 0.4602)
Na (0.1196, 0.8715, 0.7517)
Na (0.2303, 0.7652, 0.0403)
Na (0.3272, 0.6611, 0.3306)
Na (0.3469, 0.6396, 0.7949)
Na (0.5610, 0.4308, 0.3685)
Na (0.6681, 0.3270, 0.6613)
Na (0.6861, 0.3137, 0.1279)
Na (0.8955, 0.1015, 0.7018)
Li (0.4620, 0.5279, 0.0684)
Li (0.7956, 0.2064, 0.4089)
V (0.0236, 0.5459, 0.5411)
V (0.0947, 0.3111, 0.2001)
V (0.2504, 0.3258, 0.5884)
V (0.3313, 0.0887, 0.2468)
V (0.3623, 0.2238, 0.8780)
V (0.4308, 0.9801, 0.5284)
V (0.5855, 0.9947, 0.9251)
V (0.6525, 0.7519, 0.5826)
V (0.6967, 0.8946, 0.2141)
V (0.7597, 0.6451, 0.8700)
V (0.9090, 0.6615, 0.2574)
V (0.9946, 0.4213, 0.9181)
O (0.0340, 0.6464, 0.4102)
O (0.0462, 0.1960, 0.5444)
O (0.0464, 0.6564, 0.1696)
O (0.0478, 0.6431, 0.6665)
O (0.1464, 0.1554, 0.2073)
O (0.1576, 0.0957, 0.8524)
O (0.2056, 0.5446, 0.9531)
O (0.2172, 0.4889, 0.5787)
O (0.2894, 0.4488, 0.2381)
O (0.2956, 0.9890, 0.6172)
O (0.3020, 0.9837, 0.3735)
O (0.3017, 0.9911, 0.1209)
O (0.3773, 0.3173, 0.7434)
O (0.3860, 0.3165, 0.5006)
O (0.3882, 0.8582, 0.8835)
O (0.3981, 0.3305, 0.0004)
O (0.4686, 0.8185, 0.5407)
O (0.4924, 0.7674, 0.1904)
O (0.5403, 0.2139, 0.2808)
O (0.5445, 0.1554, 0.9163)
O (0.6188, 0.6415, 0.9588)
O (0.6213, 0.6480, 0.4607)
O (0.6299, 0.1144, 0.5656)
O (0.6329, 0.6554, 0.7162)
O (0.7050, 0.5312, 0.2094)
O (0.7160, 0.9865, 0.0787)
O (0.7217, 0.9910, 0.8362)
O (0.7325, 0.0041, 0.3346)
O (0.8117, 0.4895, 0.8776)
O (0.8248, 0.4108, 0.5104)
O (0.8579, 0.8800, 0.6082)
O (0.8790, 0.8262, 0.2554)
O (0.9550, 0.7826, 0.9118)
O (0.9574, 0.3108, 0.2910)
O (0.9638, 0.3183, 0.0464)
O (0.9646, 0.3222, 0.7931)

Peak list (10 most intense, 10° ≤ 2θ ≤ 80°, low angle first)
- d = 5.040 Å, 17.6 deg, rel. 353
- d = 3.644 Å, 24.4 deg, rel. 698
- d = 3.475 Å, 25.6 deg, rel. 222
- d = 3.341 Å, 26.7 deg, rel. 1000
- d = 3.267 Å, 27.3 deg, rel. 240
- d = 3.171 Å, 28.1 deg, rel. 390
- d = 2.802 Å, 31.9 deg, rel. 499
- d = 2.675 Å, 33.5 deg, rel. 212
- d = 1.843 Å, 49.5 deg, rel. 199
- d = 1.787 Å, 51.1 deg, rel. 181